# 1
This entry pairs a crystal structure of LiPm3Pr2S6 with its theoretical powder X-ray diffraction pattern. Radiation: Cu Kα (λ = 1.5418 Å). Structure: the PBE geometry in Alexandria.
No peak broadening, texture or thermal motion is included.

Structure:
Cell lengths 6.993, 6.993, 6.990 Å; angles 99.64, 99.64, 120.17 degrees
Fractional coordinates of all 12 atoms:
Li1 0.000 0.000 0.000
Pm1 0.166 0.834 0.500
Pm2 0.500 0.500 0.500
Pm3 0.834 0.166 0.500
Pr1 0.334 0.666 0.000
Pr2 0.666 0.334 0.000
S1 0.083 0.405 0.249
S2 0.238 0.238 0.753
S3 0.405 0.083 0.249
S4 0.595 0.917 0.751
S5 0.762 0.762 0.247
S6 0.917 0.595 0.751

Peak list (10 most intense, 10° ≤ 2θ ≤ 90°, low angle first)
Position (°2θ), intensity
27.1, 46
27.1, 15
31.4, 100
44.9, 36
45.0, 36
53.2, 19
53.3, 13
55.8, 12
65.5, 11
82.8, 14

# 2
This entry pairs a crystal structure of LiPm4Pr3Se8 with its theoretical powder X-ray diffraction pattern. Radiation: Cu Kα (λ = 1.5418 Å). Structure: the PBE geometry in Alexandria.
No peak broadening, texture or thermal motion is included.

Structure:
Cell lengths 8.414, 8.414, 8.414 Å; angles 60.01, 60.01, 60.01 degrees
Fractional coordinates of all 16 atoms:
Li1 0.000 0.000 0.000
Pm1 0.000 0.000 0.500
Pm2 0.000 0.500 0.000
Pm3 0.500 0.000 0.000
Pm4 0.500 0.500 0.500
Pr1 0.000 0.500 0.500
Pr2 0.500 0.000 0.500
Pr3 0.500 0.500 0.000
Se1 0.240 0.756 0.756
Se2 0.244 0.244 0.760
Se3 0.244 0.760 0.244
Se4 0.248 0.248 0.248
Se5 0.752 0.752 0.752
Se6 0.756 0.240 0.756
Se7 0.756 0.756 0.240
Se8 0.760 0.244 0.244

Peak list (10 most intense, 10° ≤ 2θ ≤ 90°, low angle first)
Position (°2θ), intensity
12.9, 5
24.8, 5
25.9, 10
30.0, 100
43.0, 74
50.9, 5
53.3, 26
62.4, 12
70.8, 33
78.8, 25

# 3
This entry pairs a crystal structure of Li5Pm4Pt6 with its theoretical powder X-ray diffraction pattern. Radiation: Cu Kα (λ = 1.5418 Å). Structure: the PBE geometry in Alexandria.
No peak broadening, texture or thermal motion is included.

Structure:
Cell lengths 10.243, 10.243, 15.037 Å; angles 90.00, 90.00, 156.94 degrees
Fractional coordinates of all 30 atoms:
Li1 0.065 0.935 0.500
Li2 0.144 0.856 0.820
Li3 0.162 0.838 0.088
Li4 0.197 0.803 0.442
Li5 0.345 0.655 0.456
Li6 0.655 0.345 0.956
Li7 0.803 0.197 0.942
Li8 0.838 0.162 0.588
Li9 0.856 0.144 0.320
Li10 0.935 0.065 0.000
Pm1 0.314 0.686 0.766
Pm2 0.337 0.663 0.132
Pm3 0.469 0.531 0.600
Pm4 0.493 0.507 0.339
Pm5 0.507 0.493 0.839
Pm6 0.531 0.469 0.100
Pm7 0.663 0.337 0.632
Pm8 0.686 0.314 0.266
Pt1 0.057 0.943 0.687
Pt2 0.065 0.935 0.962
Pt3 0.079 0.921 0.237
Pt4 0.262 0.738 0.588
Pt5 0.283 0.717 0.310
Pt6 0.384 0.616 0.940
Pt7 0.616 0.384 0.440
Pt8 0.717 0.283 0.810
Pt9 0.738 0.262 0.088
Pt10 0.921 0.079 0.737
Pt11 0.935 0.065 0.462
Pt12 0.943 0.057 0.187

Peak list (10 most intense, 10° ≤ 2θ ≤ 90°, low angle first)
Position (°2θ), intensity
26.2, 65
27.3, 44
29.7, 70
31.2, 95
32.6, 100
33.5, 48
36.1, 96
44.2, 71
49.8, 50
69.3, 43